The following is a calculated X-ray powder pattern of KTl2Cd2. It was derived from the GGA-PBE geometry in Alexandria, using Cu Kα (weighted mean of Kα1 and Kα2).

Atomic structure:
a b c (Å): 9.6723 5.0539 13.2606
angles (deg): 90.00 90.00 90.00
Fractional positions:
1 K 0.2347 0.2500 0.1664
2 K 0.2653 0.7500 0.6664
3 K 0.7347 0.2500 0.3336
4 K 0.7653 0.7500 0.8336
5 Tl 0.1110 0.2500 0.4521
6 Tl 0.1556 0.2500 0.8554
7 Tl 0.3444 0.7500 0.3554
8 Tl 0.3890 0.7500 0.9521
9 Tl 0.6110 0.2500 0.0479
10 Tl 0.6556 0.2500 0.6446
11 Tl 0.8444 0.7500 0.1446
12 Tl 0.8890 0.7500 0.5479
13 Cd 0.0232 0.7500 0.3309
14 Cd 0.0831 0.7500 0.9896
15 Cd 0.4169 0.2500 0.4896
16 Cd 0.4768 0.2500 0.8309
17 Cd 0.5232 0.7500 0.1691
18 Cd 0.5831 0.7500 0.5104
19 Cd 0.9169 0.2500 0.0104
20 Cd 0.9768 0.2500 0.6691

Principal peaks in the range 5° ≤ 2θ ≤ 70°, by angle:
| Position (°2θ) | I/Imax |
| --- | --- |
| 16.21 | 72 |
| 25.49 | 35 |
| 28.37 | 100 |
| 33.65 | 48 |
| 34.43 | 31 |
| 35.53 | 51 |
| 35.70 | 47 |
| 38.33 | 45 |

The following is a calculated X-ray powder pattern of BeNbSb3. It was derived from the GGA-PBE geometry in Alexandria, using Cu Kα (weighted mean of Kα1 and Kα2).

Atomic structure:
a b c (Å): 4.8416 4.8416 4.8416
angles (deg): 90.00 90.00 90.00
Fractional positions:
1 Be 0.0000 0.0000 0.0000
2 Nb 0.5000 0.5000 0.5000
3 Sb 0.0000 0.0000 0.5000
4 Sb 0.0000 0.5000 0.0000
5 Sb 0.5000 0.0000 0.0000

Principal peaks in the range 5° ≤ 2θ ≤ 70°, by angle:
| Position (°2θ) | I/Imax |
| --- | --- |
| 18.32 | 1 |
| 32.02 | 100 |
| 37.14 | 53 |
| 41.71 | 1 |
| 53.53 | 36 |
| 63.75 | 40 |
| 66.95 | 12 |

The following is a calculated X-ray powder pattern of Pm5Nd3Y3. It was derived from the GGA-PBE geometry in Alexandria, using Cu Kα (weighted mean of Kα1 and Kα2).

Atomic structure:
a b c (Å): 9.7491 9.7491 5.5736
angles (deg): 90.00 90.00 120.00
Fractional positions:
1 Pm 0.0000 0.2693 0.0000
2 Pm 0.2693 0.0000 0.0000
3 Pm 0.3333 0.6667 0.0000
4 Pm 0.6667 0.3333 0.0000
5 Pm 0.7307 0.7307 0.0000
6 Nd 0.0000 0.6404 0.0000
7 Nd 0.3596 0.3596 0.0000
8 Nd 0.6404 0.0000 0.0000
9 Y 0.0000 0.4657 0.5000
10 Y 0.4657 0.0000 0.5000
11 Y 0.5343 0.5343 0.5000

Principal peaks in the range 5° ≤ 2θ ≤ 70°, by angle:
| Position (°2θ) | I/Imax |
| --- | --- |
| 15.90 | 97 |
| 26.49 | 46 |
| 27.96 | 35 |
| 31.80 | 54 |
| 32.12 | 46 |
| 32.33 | 54 |
| 35.74 | 100 |
| 45.82 | 40 |

The following is a calculated X-ray powder pattern of La4Sm5Ho2. It was derived from the GGA-PBE geometry in Alexandria, using Cu Kα (weighted mean of Kα1 and Kα2).

Atomic structure:
a b c (Å): 9.1486 9.1486 11.8603
angles (deg): 94.12 94.12 22.60
Fractional positions:
1 La 0.0396 0.0396 0.2626
2 La 0.3588 0.3588 0.2050
3 La 0.6412 0.6412 0.7950
4 La 0.9604 0.9604 0.7374
5 Sm 0.0968 0.0968 0.5389
6 Sm 0.1789 0.1789 0.0731
7 Sm 0.5000 0.5000 0.0000
8 Sm 0.8211 0.8211 0.9269
9 Sm 0.9032 0.9032 0.4612
10 Ho 0.2837 0.2837 0.6387
11 Ho 0.7163 0.7163 0.3613

Principal peaks in the range 5° ≤ 2θ ≤ 70°, by angle:
| Position (°2θ) | I/Imax |
| --- | --- |
| 29.37 | 33 |
| 29.75 | 25 |
| 30.35 | 100 |
| 31.15 | 57 |
| 31.32 | 58 |
| 32.32 | 42 |
| 33.36 | 20 |
| 60.95 | 23 |

The following is a calculated X-ray powder pattern of Li2Tl2Br7. It was derived from the GGA-PBE geometry in Alexandria, using Cu Kα (weighted mean of Kα1 and Kα2).

Atomic structure:
a b c (Å): 7.7692 7.7692 13.8664
angles (deg): 103.23 103.23 90.75
Fractional positions:
1 Li 0.0650 0.2597 0.4680
2 Li 0.2597 0.0650 0.9680
3 Li 0.7403 0.9350 0.0320
4 Li 0.9350 0.7403 0.5320
5 Tl 0.0325 0.4885 0.7997
6 Tl 0.4885 0.0325 0.2997
7 Tl 0.5115 0.9675 0.7003
8 Tl 0.9675 0.5115 0.2003
9 Br 0.0006 0.8138 0.9233
10 Br 0.1423 0.5267 0.6297
11 Br 0.1862 0.9994 0.5767
12 Br 0.2839 0.7161 0.2500
13 Br 0.3071 0.3303 0.8930
14 Br 0.3303 0.3071 0.3930
15 Br 0.4733 0.8577 0.8703
16 Br 0.5267 0.1423 0.1297
17 Br 0.6697 0.6929 0.6070
18 Br 0.6929 0.6697 0.1070
19 Br 0.7161 0.2839 0.7500
20 Br 0.8138 0.0006 0.4233
21 Br 0.8577 0.4733 0.3703
22 Br 0.9994 0.1862 0.0767

Principal peaks in the range 5° ≤ 2θ ≤ 70°, by angle:
| Position (°2θ) | I/Imax |
| --- | --- |
| 13.51 | 25 |
| 16.03 | 28 |
| 17.19 | 39 |
| 18.09 | 26 |
| 20.98 | 100 |
| 26.09 | 21 |
| 30.02 | 37 |
| 40.79 | 22 |

The following is a calculated X-ray powder pattern of LaTbHo3Er. It was derived from the GGA-PBE geometry in Alexandria, using Cu Kα (weighted mean of Kα1 and Kα2).

Atomic structure:
a b c (Å): 6.3623 6.3623 11.7385
angles (deg): 90.00 90.00 125.12
Fractional positions:
1 La 0.0025 0.9975 0.7500
2 La 0.9975 0.0025 0.2500
3 Tb 0.5000 0.5000 0.0000
4 Tb 0.5000 0.5000 0.5000
5 Ho 0.1751 0.8249 0.0015
6 Ho 0.1751 0.8249 0.4985
7 Ho 0.3280 0.6720 0.7500
8 Ho 0.6720 0.3280 0.2500
9 Ho 0.8249 0.1751 0.5015
10 Ho 0.8249 0.1751 0.9985
11 Er 0.3300 0.6700 0.2500
12 Er 0.6700 0.3300 0.7500

Principal peaks in the range 5° ≤ 2θ ≤ 70°, by angle:
| Position (°2θ) | I/Imax |
| --- | --- |
| 30.47 | 58 |
| 32.11 | 100 |
| 43.64 | 22 |
| 48.36 | 8 |
| 55.20 | 43 |
| 58.24 | 18 |
| 63.42 | 7 |
| 67.16 | 12 |

The following is a calculated X-ray powder pattern of AcPr2Zn2Si2. It was derived from the GGA-PBE geometry in Alexandria, using Cu Kα (weighted mean of Kα1 and Kα2).

Atomic structure:
a b c (Å): 12.2978 12.2978 12.2978
angles (deg): 19.64 19.64 19.64
Fractional positions:
1 Ac 0.0000 0.0000 0.0000
2 Pr 0.1230 0.1230 0.1230
3 Pr 0.8770 0.8770 0.8770
4 Zn 0.3988 0.3988 0.3988
5 Zn 0.6012 0.6012 0.6012
6 Si 0.2678 0.2678 0.2678
7 Si 0.7322 0.7322 0.7322

Principal peaks in the range 5° ≤ 2θ ≤ 70°, by angle:
| Position (°2θ) | I/Imax |
| --- | --- |
| 7.33 | 22 |
| 24.63 | 48 |
| 25.00 | 23 |
| 30.07 | 75 |
| 31.59 | 100 |
| 35.01 | 30 |
| 43.13 | 60 |
| 58.30 | 33 |

The following is a calculated X-ray powder pattern of AcUIn2O8. It was derived from the GGA-PBE geometry in Alexandria, using Cu Kα (weighted mean of Kα1 and Kα2).

Atomic structure:
a b c (Å): 5.0022 5.0022 7.3080
angles (deg): 90.00 90.00 90.64
Fractional positions:
1 Ac 0.0000 0.0000 0.0000
2 U 0.0000 0.0000 0.5000
3 In 0.5000 0.5000 0.2653
4 In 0.5000 0.5000 0.7347
5 O 0.1937 0.1937 0.2848
6 O 0.1937 0.1937 0.7152
7 O 0.2979 0.7021 0.5000
8 O 0.3344 0.6656 0.0000
9 O 0.6656 0.3344 0.0000
10 O 0.7021 0.2979 0.5000
11 O 0.8063 0.8063 0.2848
12 O 0.8063 0.8063 0.7152

Principal peaks in the range 5° ≤ 2θ ≤ 70°, by angle:
| Position (°2θ) | I/Imax |
| --- | --- |
| 17.73 | 19 |
| 25.04 | 51 |
| 25.32 | 49 |
| 30.29 | 100 |
| 35.91 | 28 |
| 47.50 | 38 |
| 47.83 | 36 |
| 61.09 | 21 |

The following is a calculated X-ray powder pattern of ZnPt6Rh. It was derived from the GGA-PBE geometry in Alexandria, using Cu Kα (weighted mean of Kα1 and Kα2).

Atomic structure:
a b c (Å): 5.5877 5.5877 3.9179
angles (deg): 90.00 90.00 90.00
Fractional positions:
1 Zn 0.0000 0.0000 0.0000
2 Pt 0.0000 0.5000 0.0000
3 Pt 0.2498 0.2498 0.5000
4 Pt 0.2498 0.7502 0.5000
5 Pt 0.5000 0.0000 0.0000
6 Pt 0.7502 0.2498 0.5000
7 Pt 0.7502 0.7502 0.5000
8 Rh 0.5000 0.5000 0.0000

Principal peaks in the range 5° ≤ 2θ ≤ 70°, by angle:
| Position (°2θ) | I/Imax |
| --- | --- |
| 22.50 | 5 |
| 22.70 | 2 |
| 32.17 | 4 |
| 39.62 | 100 |
| 45.94 | 33 |
| 46.35 | 16 |
| 66.99 | 11 |
| 67.31 | 21 |

The following is a calculated X-ray powder pattern of TbPuTe2S. It was derived from the GGA-PBE geometry in Alexandria, using Cu Kα (weighted mean of Kα1 and Kα2).

Atomic structure:
a b c (Å): 4.3879 4.3879 15.5835
angles (deg): 90.00 90.00 90.00
Fractional positions:
1 Tb 0.2500 0.2500 0.1128
2 Tb 0.7500 0.7500 0.8872
3 Pu 0.2500 0.2500 0.6018
4 Pu 0.7500 0.7500 0.3982
5 Te 0.2500 0.2500 0.3024
6 Te 0.2500 0.2500 0.9054
7 Te 0.7500 0.7500 0.0946
8 Te 0.7500 0.7500 0.6976
9 S 0.2500 0.7500 0.5000
10 S 0.7500 0.2500 0.5000

Principal peaks in the range 5° ≤ 2θ ≤ 70°, by angle:
| Position (°2θ) | I/Imax |
| --- | --- |
| 22.83 | 33 |
| 23.27 | 32 |
| 26.59 | 50 |
| 28.77 | 100 |
| 30.69 | 20 |
| 37.04 | 53 |
| 40.35 | 28 |
| 41.14 | 50 |